Starting from a cell relaxed with PBE, the powder X-ray diffraction pattern of CrTcPb was calculated for Cu Ka.
Neutral-atom scattering factors, no anomalous dispersion.

Peak list (10 most intense, 2θ = 10–80°, sorted by position)
2theta  d_spacing  I_rel
15.51  5.714  13.0
30.48  2.933  38.8
31.31  2.857  20.6
37.91  2.373  100.0
42.11  2.146  41.8
53.40  1.716  18.8
61.08  1.517  13.7
64.85  1.438  17.1
65.53  1.424  14.0
74.18  1.278  27.8

Cell and atoms:
```
CrTcPb
1.0
3.034 0.000 0.000
0.000 3.034 0.000
0.000 0.000 11.428
Cr Tc Pb
2 2 2
Direct
0.000 0.000 0.000 Cr
0.500 0.500 0.500 Cr
0.000 0.000 0.389 Tc
0.500 0.500 0.889 Tc
0.000 0.000 0.692 Pb
0.500 0.500 0.192 Pb
```